This entry pairs a crystal structure of NaErMnO3 with its calculated powder diffractogram. Radiation: Cu Kα (λ = 1.5418 Å). Structure: DFT lattice parameters and positions (PBE+U).
Peak positions follow from Bragg's law for the DFT cell and can differ from measured ones.

Atomic structure:
Unit cell a=6.744 b=6.744 c=8.907 alpha=90.00 beta=90.00 gamma=149.78
Element x y z (fractional)
Na1 0.147 0.853 0.750
Na2 0.853 0.147 0.250
Er1 0.500 0.500 0.000
Er2 0.500 0.500 0.500
Mn1 0.101 0.899 0.250
Mn2 0.899 0.101 0.750
O1 0.109 0.891 0.030
O2 0.109 0.891 0.470
O3 0.487 0.513 0.250
O4 0.513 0.487 0.750
O5 0.891 0.109 0.530
O6 0.891 0.109 0.970

Principal peaks in the range 15° ≤ 2θ ≤ 90°, by intensity:
Position (°2θ)  Rel. int.
33.19  100
32.78  87
24.21  68
43.23  50
34.11  48
53.06  41
40.51  35
60.73  33
38.66  29
42.93  28